For Be2HgBi, a GGA-PBE-relaxed structure gives the calculated powder diffraction line list in this record (copper Kα).

Structure:
abc: 4.471 4.471 16.290
angles: 90.00 90.00 90.00
Space group I-42d (No. 122)
Inequivalent atoms, fractional coordinates:
Be  0.099  0.250  0.125 [8 per cell]
Hg  0.000  0.000  0.000 [4 per cell]
Bi  0.000  0.000  0.500 [4 per cell]

Largest 8 diffraction maxima, in order of rising 2θ, 5 to 70 degrees two-theta:
21.82 deg, I 51.5, (0 0 4); 30.33 deg, I 100.0, (1 1 2); 40.34 deg, I 23.1, (2 0 0); 43.96 deg, I 37.2, (1 1 6); 46.33 deg, I 32.6, (2 0 4); 61.61 deg, I 13.7, (2 0 8); 63.09 deg, I 13.2, (2 2 4); 67.20 deg, I 21.6, (3 1 2)